For MnFe2GeO6, the GGA+U geometry in Alexandria gives the simulated X-ray diffraction stick pattern in this record (a wavelength of 1.5418 Å).
Peak positions follow from Bragg's law for the DFT cell and can differ from measured ones.

Crystal structure
```
MnFe2GeO6
1.0
5.076 0.000 0.000
2.538 4.406 0.000
2.525 1.480 4.633
Mn Fe Ge O
1 2 1 6
direct
0.000 0.000 0.000
0.275 0.275 0.175
0.791 0.790 0.630
0.479 0.477 0.566
0.079 0.423 0.838
0.199 0.866 0.370
0.422 0.661 0.837
0.566 0.200 0.370
0.657 0.078 0.840
0.867 0.561 0.372
```

Main lines, by angle (2θ from 10° to 90°):
Position (°2θ)  I (rel.)  hkl
23.93  40  1 1 0
32.84  100  1 1 2
35.32  88  2 1 1
40.46  13  2 1 0
48.94  26  0 2 2
49.10  13  2 0 2
53.47  30  1 2 3
53.58  19  1 -1 2
61.79  16  3 1 0
63.44  23  3 3 2